Record 1
Theoretical XRD peak list of RbAlMo2O8 for Cu Kα (λ = 1.5418 Å), from a DFT-relaxed cell (PBE+U, the Materials Project).
Peak positions follow from Bragg's law for the DFT cell and can differ from measured ones.

Crystal structure
abc: 5.6537 5.6537 7.4760
angles: 90.00 90.00 120.00
Space group P-3m1 (No. 164)
Symmetry-distinct sites (fractional):
Rb1 0.0000 0.0000 0.0000 [1 per cell]
Al1 0.0000 0.0000 0.5000 [1 per cell]
Mo1 0.3333 0.6667 0.2750 [2 per cell]
O1 0.1577 0.3154 0.3495 [6 per cell]
O2 0.3333 0.6667 0.0409 [2 per cell]

Peak list (8 most intense, 15 to 90 degrees two-theta, by angle)
d = 4.096 Å, 21.70 deg, intensity 100.0, (0 1 1); d = 2.971 Å, 30.08 deg, intensity 40.5, (1 0 2); d = 2.827 Å, 31.65 deg, intensity 45.0, (1 1 0); d = 2.048 Å, 44.23 deg, intensity 16.0, (2 0 2); d = 1.796 Å, 50.83 deg, intensity 20.4, (1 2 1); d = 1.658 Å, 55.40 deg, intensity 15.3, (2 1 2); d = 1.559 Å, 59.27 deg, intensity 13.9, (1 1 4); d = 1.276 Å, 74.32 deg, intensity 10.3, (2 0 5)

=====

Record 2
Theoretical XRD peak list of Sr2MnZn2As2O2 for Cu Kα (λ = 1.5418 Å), from a DFT-relaxed cell (PBE+U, the Materials Project).
Peak positions follow from Bragg's law for the DFT cell and can differ from measured ones.

Crystal structure
abc: 4.1995 4.1995 18.8670
angles: 90.00 90.00 90.00
Space group I4/mmm (No. 139)
Symmetry-distinct sites (fractional):
Sr1 0.0000 0.0000 0.0865 [4 per cell]
Mn1 0.0000 0.0000 0.5000 [2 per cell]
Zn1 0.0000 0.5000 0.2500 [4 per cell]
As1 0.0000 0.0000 0.3313 [4 per cell]
O1 0.0000 0.5000 0.0000 [4 per cell]

Peak list (8 most intense, 15 to 90 degrees two-theta, by angle)
d = 2.969 Å, 30.09 deg, intensity 28.0, (1 1 0); d = 2.832 Å, 31.59 deg, intensity 30.9, (1 1 2); d = 2.807 Å, 31.88 deg, intensity 100.0, (1 0 5); d = 2.513 Å, 35.73 deg, intensity 67.5, (1 1 4); d = 2.268 Å, 39.74 deg, intensity 39.9, (1 0 7); d = 2.100 Å, 43.08 deg, intensity 73.7, (2 0 0); d = 1.681 Å, 54.58 deg, intensity 41.8, (2 1 5); d = 1.259 Å, 75.55 deg, intensity 25.3, (2 0 12)

=====

Record 3
Theoretical XRD peak list of Ba3MnF12 for Cu Kα (λ = 1.5418 Å), from a DFT-relaxed cell (PBE+U, the Materials Project).
Peak positions follow from Bragg's law for the DFT cell and can differ from measured ones.

Crystal structure
abc: 8.2469 14.1001 6.8001
angles: 90.00 92.63 90.00
Space group C2/m (No. 12)
Symmetry-distinct sites (fractional):
Ba1 0.0000 0.0000 0.0000 [2 per cell]
Ba2 0.2500 0.2500 0.5000 [4 per cell]
Mn1 0.0000 0.0000 0.5000 [2 per cell]
F1 0.0078 0.2844 0.2793 [8 per cell]
F2 0.1053 0.0907 0.6640 [8 per cell]
F3 0.2106 0.0707 0.2768 [8 per cell]

Peak list (8 most intense, 15 to 90 degrees two-theta, by angle)
d = 4.892 Å, 18.13 deg, intensity 100.0, (0 2 1); d = 4.082 Å, 21.77 deg, intensity 34.6, (1 3 0); d = 3.557 Å, 25.04 deg, intensity 50.8, (2 2 0); d = 3.526 Å, 25.26 deg, intensity 44.9, (0 4 0); d = 2.506 Å, 35.83 deg, intensity 58.0, (2 2 -2); d = 2.446 Å, 36.75 deg, intensity 31.6, (0 4 2); d = 2.409 Å, 37.33 deg, intensity 43.7, (2 2 2); d = 2.157 Å, 41.87 deg, intensity 26.2, (0 2 3)

=====

Record 4
Theoretical XRD peak list of NaLi2FePCO7 for Cu Kα (λ = 1.5418 Å), from a DFT-relaxed cell (PBE+U, the Materials Project).
Peak positions follow from Bragg's law for the DFT cell and can differ from measured ones.

Crystal structure
abc: 6.6405 8.6523 10.0576
angles: 91.77 90.06 90.22
Space group P1 (No. 1)
Symmetry-distinct sites (fractional):
Na1 0.0000 0.0000 0.0000 [1 per cell]
Na2 0.0082 0.0010 0.4985 [1 per cell]
Na3 0.2509 0.6615 0.0011 [1 per cell]
Na4 0.7456 0.1691 0.7543 [1 per cell]
Li1 0.2250 0.1922 0.7694 [1 per cell]
Li2 0.2287 0.1912 0.2661 [1 per cell]
Li3 0.2662 0.6450 0.4902 [1 per cell]
Li4 0.4922 0.8212 0.7486 [1 per cell]
Li5 0.5107 0.8208 0.2534 [1 per cell]
Li6 0.7286 0.6427 0.9883 [1 per cell]
Li7 0.7321 0.6432 0.4898 [1 per cell]
Li8 0.7694 0.1892 0.2657 [1 per cell]
Fe1 0.4927 0.2711 0.9924 [1 per cell]
Fe2 0.4989 0.2666 0.4883 [1 per cell]
Fe3 0.9948 0.5633 0.7617 [1 per cell]
Fe4 0.9989 0.5659 0.2656 [1 per cell]
P1 0.0052 0.3327 0.5211 [1 per cell]
P2 0.4932 0.5075 0.7277 [1 per cell]
P3 0.5047 0.5046 0.2329 [1 per cell]
P4 0.9903 0.3298 0.0259 [1 per cell]
C1 0.0075 0.8624 0.7409 [1 per cell]
C2 0.4987 0.9553 0.5095 [1 per cell]
C3 0.5073 0.9604 0.0146 [1 per cell]
C4 0.9983 0.8672 0.2443 [1 per cell]
O1 0.0014 0.7969 0.8560 [1 per cell]
O2 0.0021 0.7991 0.3574 [1 per cell]
O3 0.0029 0.3421 0.1828 [1 per cell]
O4 0.0026 0.5005 0.4720 [1 per cell]
O5 0.0185 0.3413 0.6771 [1 per cell]
O6 0.0290 0.0111 0.7343 [1 per cell]
O7 0.1776 0.2419 0.9707 [1 per cell]
O8 0.1862 0.2392 0.4636 [1 per cell]
O9 0.3112 0.6112 0.7666 [1 per cell]
O10 0.3174 0.6009 0.2761 [1 per cell]
O11 0.4781 0.3435 0.7859 [1 per cell]
O12 0.4863 0.0711 0.1048 [1 per cell]
O13 0.4971 0.0644 0.6030 [1 per cell]
O14 0.4970 0.8118 0.5429 [1 per cell]
O15 0.5014 0.9951 0.3862 [1 per cell]
O16 0.5016 0.3367 0.2850 [1 per cell]
O17 0.5023 0.9932 0.8892 [1 per cell]
O18 0.5047 0.4904 0.5720 [1 per cell]
O19 0.5182 0.4922 0.0776 [1 per cell]
O20 0.5314 0.8197 0.0526 [1 per cell]
O21 0.6786 0.5999 0.7817 [1 per cell]
O22 0.6840 0.6016 0.2892 [1 per cell]
O23 0.8065 0.2293 0.9851 [1 per cell]
O24 0.8160 0.2385 0.4763 [1 per cell]
O25 0.9770 0.4950 0.9719 [1 per cell]
O26 0.9905 0.7748 0.6346 [1 per cell]
O27 0.9953 0.0172 0.2388 [1 per cell]
O28 0.9976 0.7798 0.1367 [1 per cell]

Peak list (8 most intense, 15 to 90 degrees two-theta, by angle)
d = 5.266 Å, 16.84 deg, intensity 15.4, (1 1 0); d = 4.405 Å, 20.16 deg, intensity 29.5, (0 1 -2); d = 4.289 Å, 20.71 deg, intensity 26.7, (0 1 2); d = 3.322 Å, 26.84 deg, intensity 100.0, (2 0 0); d = 2.651 Å, 33.81 deg, intensity 14.6, (2 1 -2); d = 2.513 Å, 35.73 deg, intensity 27.8, (0 0 4); d = 2.091 Å, 43.28 deg, intensity 13.6, (1 2 -4); d = 1.660 Å, 55.34 deg, intensity 14.4, (4 0 0)

=====

Record 5
Theoretical XRD peak list of Y2Mn3O9 for Cu Kα (λ = 1.5418 Å), from a DFT-relaxed cell (PBE+U, the Materials Project).
Peak positions follow from Bragg's law for the DFT cell and can differ from measured ones.

Crystal structure
abc: 3.9877 13.3756 12.4774
angles: 90.00 90.00 90.00
Space group Cmc2_1 (No. 36)
Symmetry-distinct sites (fractional):
Y1 0.0000 0.0271 0.0000 [4 per cell]
Y2 0.0000 0.2996 0.0375 [4 per cell]
Mn1 0.0000 0.1397 0.2795 [4 per cell]
Mn2 0.0000 0.1963 0.7696 [4 per cell]
Mn3 0.0000 0.4692 0.2515 [4 per cell]
O1 0.0000 0.0233 0.7600 [4 per cell]
O2 0.0000 0.1336 0.4311 [4 per cell]
O3 0.0000 0.1506 0.1290 [4 per cell]
O4 0.0000 0.1772 0.9181 [4 per cell]
O5 0.0000 0.2027 0.6233 [4 per cell]
O6 0.0000 0.3076 0.2613 [4 per cell]
O7 0.0000 0.3469 0.7841 [4 per cell]
O8 0.0000 0.4670 0.1009 [4 per cell]
O9 0.0000 0.4709 0.4018 [4 per cell]

Peak list (8 most intense, 15 to 90 degrees two-theta, by angle)
d = 3.654 Å, 24.36 deg, intensity 50.3, (1 1 1); d = 3.230 Å, 27.62 deg, intensity 30.6, (0 4 1); d = 3.119 Å, 28.62 deg, intensity 68.4, (0 0 4); d = 2.814 Å, 31.80 deg, intensity 21.8, (1 1 3); d = 2.683 Å, 33.39 deg, intensity 100.0, (1 3 2); d = 2.195 Å, 41.13 deg, intensity 35.0, (0 6 1); d = 1.994 Å, 45.49 deg, intensity 51.0, (2 0 0); d = 1.704 Å, 53.80 deg, intensity 34.8, (1 3 6)

=====

Question: Which formula does entry 4 have?
Answer: NaLi2FePCO7